No. 1
Sr2La2Mg: computed powder diffraction line list (CuKα), based on a cell relaxed with GGA-PBE.
Intensities are scaled so that the largest is 100.

The 8 most intense peaks (2θ = 5–70°), sorted by position:
- (1 1 0), 15.1 deg, intensity 22
- (2 0 1), 25.9 deg, intensity 10
- (2 1 1), 28.1 deg, intensity 100
- (0 0 2), 29.2 deg, intensity 25
- (3 1 0), 34.1 deg, intensity 17
- (3 2 1), 41.9 deg, intensity 9
- (3 1 2), 45.5 deg, intensity 15
- (2 1 3), 51.1 deg, intensity 19

a = 8.316 Å, b = 8.316 Å, c = 6.115 Å
α = 90.00°, β = 90.00°, γ = 90.00°
Sites, in units of the cell vectors:
Sr (0.175, 0.325, 0.000)
Sr (0.325, 0.825, 0.000)
Sr (0.675, 0.175, 0.000)
Sr (0.825, 0.675, 0.000)
La (0.126, 0.626, 0.500)
La (0.374, 0.126, 0.500)
La (0.626, 0.874, 0.500)
La (0.874, 0.374, 0.500)
Mg (0.000, 0.000, 0.500)
Mg (0.500, 0.500, 0.500)

***

No. 2
LaMgTa: computed powder diffraction line list (CuKα), based on a cell relaxed with GGA-PBE.
Intensities are scaled so that the largest is 100.

The 8 most intense peaks (2θ = 5–70°), sorted by position:
- (0 0 1), 6.9 deg, intensity 100
- (1 0 3), 33.0 deg, intensity 33
- (1 1 0), 36.1 deg, intensity 19
- (1 1 1), 36.8 deg, intensity 9
- (1 0 4), 38.0 deg, intensity 15
- (2 0 0), 52.0 deg, intensity 7
- (2 1 3), 63.0 deg, intensity 10
- (2 1 4), 66.2 deg, intensity 6

a = 3.518 Å, b = 3.518 Å, c = 12.787 Å
α = 90.00°, β = 90.00°, γ = 90.00°
Sites, in units of the cell vectors:
La (0.250, 0.250, 0.222)
La (0.750, 0.750, 0.778)
Mg (0.250, 0.250, 0.575)
Mg (0.750, 0.750, 0.425)
Ta (0.250, 0.250, 0.952)
Ta (0.750, 0.750, 0.048)